Record 1
This entry pairs a crystal structure of Ba2CeHfO6 with its simulated powder diffractogram. Radiation: Cu Kα, 1.54184 Å. Structure: the PBE geometry in the Materials Project.
Intensities are scaled so that the largest is 100.

Largest 8 diffraction maxima, low angle first, 2θ from 10° to 90°:
(hkl), d [Å], 2theta, I_rel
2 0 0, 4.330, 20.51, 3
2 2 0, 3.062, 29.17, 100
4 0 0, 2.165, 41.72, 28
4 2 2, 1.768, 51.71, 42
4 4 0, 1.531, 60.47, 18
6 2 0, 1.369, 68.53, 18
4 4 4, 1.250, 76.16, 6
6 2 4, 1.157, 83.54, 22

Structural model:
```
Ba2CeHfO6
1.0
8.6600 0.0000 0.0000
0.0000 8.6600 0.0000
0.0000 0.0000 8.6600
Ba Ce Hf O
8 4 4 24
Cartesian
2.1650 2.1650 2.1650
2.1650 2.1650 6.4950
2.1650 6.4950 2.1650
2.1650 6.4950 6.4950
6.4950 2.1650 2.1650
6.4950 2.1650 6.4950
6.4950 6.4950 2.1650
6.4950 6.4950 6.4950
0.0000 0.0000 0.0000
0.0000 4.3300 4.3300
4.3300 0.0000 4.3300
4.3300 4.3300 0.0000
0.0000 0.0000 4.3300
0.0000 4.3300 0.0000
4.3300 0.0000 0.0000
4.3300 4.3300 4.3300
0.1651 4.5096 6.5739
0.1651 8.4804 6.4162
0.1796 2.0862 4.4951
0.1796 2.2438 8.4950
2.0862 4.4951 0.1796
2.0862 8.4950 4.1504
2.2438 4.4951 4.1504
2.2438 8.4950 0.1796
4.1504 2.0862 8.4950
4.1504 2.2438 4.4951
4.1650 4.5096 6.4162
4.1650 8.4804 6.5739
4.4951 0.1796 2.0862
4.4951 4.1504 2.2438
4.5096 6.4162 4.1650
4.5096 6.5739 0.1651
6.4162 0.1651 8.4804
6.4162 4.1650 4.5096
6.5739 0.1651 4.5096
6.5739 4.1650 8.4804
8.4804 6.4162 0.1651
8.4804 6.5739 4.1650
8.4950 0.1796 2.2438
8.4950 4.1504 2.0862
```


Record 2
This entry pairs a crystal structure of KCu3SiSe4 with its simulated powder diffractogram. Radiation: Cu Kα, 1.54184 Å. Structure: the PBE geometry in the Materials Project.
Intensities are scaled so that the largest is 100.

Largest 8 diffraction maxima, low angle first, 2θ from 10° to 90°:
(hkl), d [Å], 2theta, I_rel
1 0 0, 6.128, 14.46, 35
1 1 1, 3.538, 25.17, 100
2 1 1, 2.502, 35.90, 15
2 2 0, 2.166, 41.69, 81
3 0 0, 2.043, 44.35, 10
3 1 1, 1.848, 49.32, 37
3 2 0, 1.699, 53.95, 15
4 2 2, 1.251, 76.10, 17

Structural model:
```
KCu3SiSe4
1.0
6.1276 0.0000 0.0000
0.0000 6.1276 0.0000
0.0000 0.0000 6.1276
K Cu Si Se
1 3 1 4
Cartesian
0.0000 0.0000 0.0000
0.0000 3.0638 3.0638
3.0638 0.0000 3.0638
3.0638 3.0638 0.0000
3.0638 3.0638 3.0638
1.7528 1.7528 4.3748
1.7528 4.3748 1.7528
4.3748 1.7528 1.7528
4.3748 4.3748 4.3748
```